[1]
Simulated powder diffraction line list
Compound: RuC
Radiation: a wavelength of 1.5418 Å
Structure: a crystal structure in the Materials Project, relaxed with PBE

Atomic structure:
```
data_RuC
_cell_length_a 2.9356
_cell_length_b 2.9356
_cell_length_c 2.6828
_cell_angle_alpha 90.00
_cell_angle_beta 90.00
_cell_angle_gamma 120.00
_symmetry_space_group_name_H-M 'P -6 m 2'
_symmetry_Int_Tables_number 187
_symmetry_space_group_name_Hall 'P -6 2'
loop_
_atom_site_label
_atom_site_type_symbol
_atom_site_fract_x
_atom_site_fract_y
_atom_site_fract_z
Ru1 Ru 0.0000 0.0000 0.0000
C1 C 0.6667 0.3333 0.5000
```

Principal peaks in the range 5 to 70 degrees two-theta, in order of falling intensity:
| (hkl) | 2θ (°) | I/Imax |
| --- | --- | --- |
| 1 0 0 | 35.30 | 100.0 |
| 1 0 1 | 49.39 | 91.3 |
| 0 0 1 | 33.40 | 34.3 |
| 1 1 0 | 63.37 | 22.5 |

[2]
Simulated powder diffraction line list
Compound: Cr5S8
Radiation: a wavelength of 1.5418 Å
Structure: a crystal structure in the Materials Project, relaxed with PBE

Atomic structure:
```
data_Cr5S8
_cell_length_a 8.870
_cell_length_b 8.872
_cell_length_c 10.348
_cell_angle_alpha 67.12
_cell_angle_beta 67.14
_cell_angle_gamma 84.60
_symmetry_space_group_name_H-M 'P -1'
_symmetry_Int_Tables_number 2
loop_
_symmetry_equiv_pos_as_xyz
'x,y,z'
'-x,-y,-z'
loop_
_atom_site_label
_atom_site_type_symbol
_atom_site_fract_x
_atom_site_fract_y
_atom_site_fract_z
Cr1 Cr 0.000 0.000 0.000
Cr2 Cr 0.000 0.500 0.000
Cr3 Cr 0.016 0.016 0.318
Cr4 Cr 0.250 0.249 0.499
Cr5 Cr 0.252 0.753 0.164
Cr6 Cr 0.253 0.748 0.498
Cr7 Cr 0.270 0.761 0.826
Cr8 Cr 0.488 0.480 0.676
Cr9 Cr 0.500 0.500 0.000
S1 S 0.044 0.721 0.413
S2 S 0.051 0.714 0.072
S3 S 0.052 0.708 0.751
S4 S 0.200 0.040 0.750
S5 S 0.203 0.035 0.426
S6 S 0.205 0.032 0.084
S7 S 0.292 0.466 0.916
S8 S 0.297 0.461 0.574
S9 S 0.303 0.461 0.250
S10 S 0.446 0.790 0.254
S11 S 0.453 0.784 0.926
S12 S 0.458 0.781 0.584
```

Principal peaks in the range 5 to 70 degrees two-theta, in order of falling intensity:
| (hkl) | 2θ (°) | I/Imax |
| --- | --- | --- |
| 3 1 3 | 34.05 | 100.0 |
| 4 2 3 | 44.43 | 91.5 |
| 1 1 0 | 15.87 | 51.5 |
| 2 2 6 | 53.11 | 30.7 |
| 3 5 3 | 58.43 | 19.1 |
| 2 -2 0 | 29.92 | 18.0 |
| 4 -2 3 | 53.14 | 15.3 |
| 1 5 6 | 64.62 | 12.5 |
| 1 -1 1 | 17.95 | 10.2 |
| -3 3 3 | 55.81 | 9.0 |
| 0 0 2 | 20.18 | 7.0 |
| 4 4 0 | 67.06 | 6.2 |

[3]
Simulated powder diffraction line list
Compound: Rb4Ge23
Radiation: a wavelength of 1.5418 Å
Structure: a crystal structure in the Materials Project, relaxed with PBE

Atomic structure:
```
data_Rb4Ge23
_cell_length_a 11.165
_cell_length_b 11.165
_cell_length_c 11.165
_cell_angle_alpha 90.00
_cell_angle_beta 90.00
_cell_angle_gamma 90.00
_symmetry_space_group_name_H-M 'P m -3 n'
_symmetry_Int_Tables_number 223
_symmetry_space_group_name_Hall '-P 4n 2 3'
loop_
_atom_site_label
_atom_site_type_symbol
_atom_site_fract_x
_atom_site_fract_y
_atom_site_fract_z
Rb1 Rb 0.000 0.000 0.000
Rb2 Rb 0.000 0.250 0.500
Ge1 Ge 0.000 0.306 0.120
Ge2 Ge 0.000 0.500 0.250
Ge3 Ge 0.185 0.185 0.185
```

Principal peaks in the range 5 to 70 degrees two-theta, in order of falling intensity:
| (hkl) | 2θ (°) | I/Imax |
| --- | --- | --- |
| 3 2 1 | 29.95 | 100.0 |
| 5 3 2 | 50.38 | 51.7 |
| 5 3 0 | 47.48 | 50.3 |
| 3 2 0 | 28.83 | 38.3 |
| 2 2 2 | 27.68 | 29.9 |
| 6 0 0 | 48.95 | 22.3 |
| 4 1 0 | 33.08 | 18.9 |
| 5 3 1 | 48.22 | 16.3 |
| 4 0 0 | 32.07 | 12.7 |
| 3 3 0 | 34.07 | 8.7 |
| 8 1 1 | 68.25 | 7.5 |
| 6 3 3 | 60.98 | 7.2 |

[4]
Simulated powder diffraction line list
Compound: Li4CO4
Radiation: a wavelength of 1.5418 Å
Structure: a crystal structure in the Materials Project, relaxed with PBE

Atomic structure:
```
data_Li4CO4
_cell_length_a 4.654
_cell_length_b 5.773
_cell_length_c 7.272
_cell_angle_alpha 90.00
_cell_angle_beta 127.76
_cell_angle_gamma 90.00
_symmetry_space_group_name_H-M 'P 1 c 1'
_symmetry_Int_Tables_number 7
loop_
_symmetry_equiv_pos_as_xyz
'x,y,z'
'x,-y,z+1/2'
loop_
_atom_site_label
_atom_site_type_symbol
_atom_site_fract_x
_atom_site_fract_y
_atom_site_fract_z
Li1 Li 0.000 0.012 0.000
Li2 Li 0.186 0.427 0.688
Li3 Li 0.400 0.194 0.367
Li4 Li 0.798 0.397 0.829
C1 C 0.595 0.285 0.067
O1 O 0.287 0.289 0.062
O2 O 0.519 0.150 0.876
O3 O 0.662 0.481 0.528
O4 O 0.905 0.208 0.280
```

Principal peaks in the range 5 to 70 degrees two-theta, in order of falling intensity:
| (hkl) | 2θ (°) | I/Imax |
| --- | --- | --- |
| 0 1 1 | 21.82 | 100.0 |
| 1 1 -1 | 24.58 | 34.7 |
| 2 0 -2 | 38.72 | 30.4 |
| 1 1 -3 | 40.59 | 23.6 |
| 1 0 0 | 24.19 | 22.1 |
| 0 1 2 | 34.86 | 18.4 |
| 1 2 -1 | 36.64 | 18.3 |
| 1 2 -2 | 40.24 | 14.6 |
| 0 1 0 | 15.35 | 14.2 |
| 1 1 1 | 39.49 | 12.2 |
| 0 3 1 | 49.98 | 10.7 |
| 2 1 0 | 52.19 | 10.4 |

[5]
Simulated powder diffraction line list
Compound: LaMg14Mn
Radiation: a wavelength of 1.5418 Å
Structure: a crystal structure in the Materials Project, relaxed with PBE

Atomic structure:
```
data_LaMg14Mn
_cell_length_a 6.5452
_cell_length_b 6.5452
_cell_length_c 10.2768
_cell_angle_alpha 90.00
_cell_angle_beta 90.00
_cell_angle_gamma 120.00
_symmetry_space_group_name_H-M 'P -6 m 2'
_symmetry_Int_Tables_number 187
_symmetry_space_group_name_Hall 'P -6 2'
loop_
_atom_site_label
_atom_site_type_symbol
_atom_site_fract_x
_atom_site_fract_y
_atom_site_fract_z
La1 La 0.0000 0.0000 0.0000
Mg1 Mg 0.0134 0.5067 0.0000
Mg2 Mg 0.1665 0.3330 0.2628
Mg3 Mg 0.5012 0.0024 0.5000
Mg4 Mg 0.6667 0.3333 0.2436
Mn1 Mn 0.0000 0.0000 0.5000
```

Principal peaks in the range 5 to 70 degrees two-theta, in order of falling intensity:
| (hkl) | 2θ (°) | I/Imax |
| --- | --- | --- |
| 2 0 2 | 36.20 | 100.0 |
| 1 0 0 | 15.63 | 33.9 |
| 2 0 0 | 31.57 | 28.6 |
| 1 0 2 | 23.37 | 26.7 |
| 0 0 4 | 34.92 | 23.5 |
| 2 2 4 | 67.91 | 18.6 |
| 2 2 0 | 56.22 | 17.5 |
| 2 0 4 | 47.78 | 17.3 |
| 2 0 6 | 63.46 | 17.2 |
| 1 0 1 | 17.87 | 14.3 |
| 4 0 2 | 68.71 | 14.1 |
| 1 1 2 | 32.44 | 11.5 |

[6]
Simulated powder diffraction line list
Compound: TbOF
Radiation: a wavelength of 1.5418 Å
Structure: a crystal structure in the Materials Project, relaxed with PBE

Atomic structure:
```
data_TbOF
_cell_length_a 11.593
_cell_length_b 4.403
_cell_length_c 4.344
_cell_angle_alpha 90.00
_cell_angle_beta 104.04
_cell_angle_gamma 90.00
_symmetry_space_group_name_H-M 'C 1 2/m 1'
_symmetry_Int_Tables_number 12
loop_
_symmetry_equiv_pos_as_xyz
'x,y,z'
'-x,-y,-z'
'-x,y,-z'
'x,-y,z'
'x+1/2,y+1/2,z'
'-x+1/2,-y+1/2,-z'
'-x+1/2,y+1/2,-z'
'x+1/2,-y+1/2,z'
loop_
_atom_site_label
_atom_site_type_symbol
_atom_site_fract_x
_atom_site_fract_y
_atom_site_fract_z
Tb1 Tb 0.116 0.000 0.324
O1 O 0.078 0.000 0.801
F1 F 0.175 0.500 0.387
```

Principal peaks in the range 5 to 70 degrees two-theta, in order of falling intensity:
| (hkl) | 2θ (°) | I/Imax |
| --- | --- | --- |
| 1 1 0 | 21.68 | 100.0 |
| 4 0 0 | 31.80 | 67.0 |
| 2 0 -1 | 23.10 | 55.3 |
| 3 1 -1 | 34.54 | 32.3 |
| 2 0 1 | 29.41 | 26.9 |
| 5 1 0 | 45.27 | 25.0 |
| 0 2 0 | 41.00 | 23.0 |
| 0 0 1 | 21.08 | 22.6 |
| 1 1 -2 | 46.69 | 20.5 |
| 2 0 -2 | 41.98 | 16.4 |
| 4 2 0 | 52.82 | 16.0 |
| 2 2 -1 | 47.58 | 16.0 |

[7]
Simulated powder diffraction line list
Compound: NaCN
Radiation: a wavelength of 1.5418 Å
Structure: a crystal structure in the Materials Project, relaxed with PBE

Atomic structure:
```
data_NaCN
_cell_length_a 3.686
_cell_length_b 5.610
_cell_length_c 4.830
_cell_angle_alpha 90.00
_cell_angle_beta 90.00
_cell_angle_gamma 90.00
_symmetry_space_group_name_H-M 'I m m 2'
_symmetry_Int_Tables_number 44
loop_
_symmetry_equiv_pos_as_xyz
'x,y,z'
'-x,-y,z'
'-x,y,z'
'x,-y,z'
'x+1/2,y+1/2,z+1/2'
'-x+1/2,-y+1/2,z+1/2'
'-x+1/2,y+1/2,z+1/2'
'x+1/2,-y+1/2,z+1/2'
loop_
_atom_site_label
_atom_site_type_symbol
_atom_site_fract_x
_atom_site_fract_y
_atom_site_fract_z
Na1 Na 0.000 0.000 0.000
C1 C 0.000 0.500 0.105
N1 N 0.000 0.500 0.861
```

Principal peaks in the range 5 to 70 degrees two-theta, in order of falling intensity:
| (hkl) | 2θ (°) | I/Imax |
| --- | --- | --- |
| 1 0 1 | 30.51 | 100.0 |
| 0 2 0 | 31.90 | 59.7 |
| 1 2 1 | 44.73 | 58.7 |
| 1 1 2 | 47.86 | 17.5 |
| 2 0 0 | 49.46 | 13.7 |
| 2 2 0 | 60.07 | 13.4 |
| 0 0 2 | 37.23 | 9.8 |
| 0 1 3 | 59.76 | 9.8 |
| 0 2 2 | 49.83 | 8.0 |
| 1 3 2 | 68.36 | 5.1 |
| 0 1 1 | 24.32 | 4.6 |
| 0 4 0 | 66.68 | 4.5 |